Computed powder X-ray diffraction pattern
Compound: UAs2PtRh2
Radiation: Cu Kα
Structure: a crystal structure in Alexandria, relaxed with PBE
Lines closer than 0.1° are merged.

The 8 most intense peaks (2θ from 5° to 70°), in order of rising 2θ:
- 10.0 deg, I = 34
- 31.4 deg, I = 35
- 34.5 deg, I = 100
- 37.0 deg, I = 42
- 38.4 deg, I = 79
- 39.0 deg, I = 43
- 41.6 deg, I = 35
- 48.9 deg, I = 35

Cell and atoms:
```
UAs2PtRh2
1.0
3.727 0.000 0.000
0.000 8.827 0.000
0.000 0.000 6.418
U As Pt Rh
2 4 2 4
Cartesian
0.000 0.514 0.000 U
0.000 8.314 3.209 U
0.000 3.517 5.025 As
0.000 5.311 1.816 As
1.864 1.645 1.915 As
1.864 7.182 5.124 As
1.864 1.564 4.501 Pt
1.864 7.263 1.292 Pt
0.000 3.060 2.632 Rh
0.000 5.767 5.841 Rh
1.864 3.461 0.251 Rh
1.864 5.366 3.460 Rh
```


Computed powder X-ray diffraction pattern
Compound: AsRuPt2
Radiation: Cu Kα
Structure: a crystal structure in Alexandria, relaxed with PBE
Lines closer than 0.1° are merged.

The 8 most intense peaks (2θ from 5° to 70°), in order of rising 2θ:
- 18.8 deg, I = 23
- 36.8 deg, I = 9
- 38.1 deg, I = 32
- 39.7 deg, I = 28
- 41.6 deg, I = 100
- 54.0 deg, I = 6
- 56.2 deg, I = 21
- 64.2 deg, I = 7

Cell and atoms:
```
AsRuPt2
1.0
2.901 0.000 0.000
0.000 4.541 0.000
0.000 0.000 4.722
As Ru Pt
1 1 2
Cartesian
0.000 0.000 0.000 As
1.451 2.270 0.000 Ru
0.000 2.270 2.361 Pt
1.451 0.000 2.361 Pt
```


Computed powder X-ray diffraction pattern
Compound: AsPtS4
Radiation: Cu Kα
Structure: a crystal structure in Alexandria, relaxed with PBE
Lines closer than 0.1° are merged.

The 8 most intense peaks (2θ from 5° to 70°), in order of rising 2θ:
- 13.9 deg, I = 100
- 14.7 deg, I = 14
- 29.8 deg, I = 25
- 34.6 deg, I = 19
- 35.2 deg, I = 37
- 45.0 deg, I = 13
- 48.2 deg, I = 13
- 52.1 deg, I = 18

Cell and atoms:
```
AsPtS4
1.0
6.407 -1.757 0.000
6.407 1.757 0.000
-0.818 0.000 6.029
As Pt S
1 1 4
Cartesian
0.000 0.000 0.000 As
5.998 0.000 3.014 Pt
1.039 0.000 2.260 S
4.878 0.000 0.891 S
7.118 0.000 5.138 S
10.957 0.000 3.769 S
```


Computed powder X-ray diffraction pattern
Compound: SbAs2Pt2
Radiation: Cu Kα
Structure: a crystal structure in Alexandria, relaxed with PBE
Lines closer than 0.1° are merged.

The 8 most intense peaks (2θ from 5° to 70°), in order of rising 2θ:
- 12.8 deg, I = 74
- 25.7 deg, I = 27
- 30.1 deg, I = 32
- 35.3 deg, I = 100
- 40.0 deg, I = 15
- 42.1 deg, I = 42
- 47.0 deg, I = 38
- 51.8 deg, I = 34

Cell and atoms:
```
SbAs2Pt2
1.0
-1.934 1.934 6.941
1.934 -1.934 6.941
1.934 1.934 -6.941
Sb As Pt
1 2 2
Cartesian
0.000 0.000 0.000 Sb
0.000 0.000 5.208 As
0.000 0.000 8.674 As
1.934 0.000 3.471 Pt
0.000 1.934 3.471 Pt
```


Computed powder X-ray diffraction pattern
Compound: ScAsPt2
Radiation: Cu Kα
Structure: a crystal structure in Alexandria, relaxed with PBE
Lines closer than 0.1° are merged.

The 8 most intense peaks (2θ from 5° to 70°), in order of rising 2θ:
- 17.0 deg, I = 32
- 26.4 deg, I = 72
- 29.4 deg, I = 91
- 39.9 deg, I = 91
- 40.2 deg, I = 100
- 40.6 deg, I = 57
- 50.5 deg, I = 71
- 50.9 deg, I = 41

Cell and atoms:
```
ScAsPt2
1.0
3.042 0.000 0.000
0.000 4.449 0.000
0.000 0.000 5.202
Sc As Pt
1 1 2
Cartesian
0.000 0.000 0.000 Sc
1.521 2.224 3.701 As
1.521 0.000 2.628 Pt
1.521 2.224 0.970 Pt
```


Computed powder X-ray diffraction pattern
Compound: AsPtSe2
Radiation: Cu Kα
Structure: a crystal structure in Alexandria, relaxed with PBE
Lines closer than 0.1° are merged.

The 8 most intense peaks (2θ from 5° to 70°), in order of rising 2θ:
- 18.8 deg, I = 85
- 21.7 deg, I = 36
- 29.3 deg, I = 97
- 34.0 deg, I = 100
- 34.8 deg, I = 89
- 44.3 deg, I = 46
- 46.8 deg, I = 36
- 47.8 deg, I = 36

Cell and atoms:
```
AsPtSe2
1.0
3.906 0.000 0.000
0.355 4.598 0.000
1.215 2.169 4.732
As Pt Se
1 1 2
Cartesian
0.000 0.000 0.000 As
3.562 5.380 4.027 Pt
1.559 3.974 3.108 Se
3.007 1.808 1.532 Se
```


Computed powder X-ray diffraction pattern
Compound: Tb8AsPt3Se4
Radiation: Cu Kα
Structure: a crystal structure in Alexandria, relaxed with PBE
Lines closer than 0.1° are merged.

The 8 most intense peaks (2θ from 5° to 70°), in order of rising 2θ:
- 12.6 deg, I = 10
- 30.6 deg, I = 100
- 39.4 deg, I = 4
- 42.9 deg, I = 39
- 44.7 deg, I = 36
- 52.0 deg, I = 7
- 55.2 deg, I = 19
- 63.7 deg, I = 12

Cell and atoms:
```
Tb8AsPt3Se4
1.0
4.051 2.339 7.039
-4.051 2.339 7.039
0.000 -4.677 7.039
Tb As Pt Se
8 1 3 4
Cartesian
-2.059 -1.189 12.230 Tb
0.000 0.000 5.144 Tb
0.000 -2.378 8.888 Tb
-2.059 1.189 8.888 Tb
2.059 -1.189 12.230 Tb
0.000 2.378 12.230 Tb
0.000 0.000 15.975 Tb
2.059 1.189 8.888 Tb
0.000 0.000 10.559 As
-4.051 0.000 10.559 Pt
-2.025 1.169 3.520 Pt
2.025 1.169 3.520 Pt
0.000 0.000 0.000 Se
-2.025 -1.169 7.039 Se
-2.025 1.169 14.079 Se
0.000 2.339 7.039 Se
```


Computed powder X-ray diffraction pattern
Compound: Si4AsPt
Radiation: Cu Kα
Structure: a crystal structure in Alexandria, relaxed with PBE
Lines closer than 0.1° are merged.

The 8 most intense peaks (2θ from 5° to 70°), in order of rising 2θ:
- 21.2 deg, I = 63
- 24.5 deg, I = 18
- 35.0 deg, I = 85
- 41.3 deg, I = 100
- 43.2 deg, I = 11
- 55.2 deg, I = 16
- 62.7 deg, I = 31
- 67.0 deg, I = 32

Cell and atoms:
```
Si4AsPt
1.0
0.000 3.628 3.628
3.628 0.000 3.628
3.628 3.628 0.000
Si As Pt
4 1 1
Cartesian
0.905 0.905 0.905 Si
2.723 2.723 0.905 Si
2.723 0.905 2.723 Si
0.905 2.723 2.723 Si
5.442 5.442 5.442 As
3.628 3.628 3.628 Pt
```